[1]
Diffraction record for Li7Mn11O24. The powder X-ray diffraction pattern is computed, not measured: it uses a structure optimized by DFT (GGA+U) and Cu Kα X-rays.
Peak positions follow from Bragg's law for the DFT cell and can differ from measured ones.

Largest 10 diffraction maxima, in order of falling intensity, 15° ≤ 2θ ≤ 90°:
2θ/deg, d (Å), I/Imax, hkl
18.81, 4.717, 100, 0 1 2
44.19, 2.050, 73, 2 0 4
36.40, 2.468, 30, 2 -1 2
18.52, 4.792, 27, 0 1 -1
63.83, 1.458, 21, 2 4 0
36.05, 2.492, 16, 0 3 0
64.64, 1.442, 14, 2 4 6
58.50, 1.578, 9, 2 1 6
36.53, 2.460, 8, -2 1 1
64.84, 1.438, 7, 4 0 2

Structure:
```
data_Li7Mn11O24
_chemical_formula_sum 'Li7 Mn11 O24'
_symmetry_space_group_name_H-M 'P 1'
_symmetry_Int_Tables_number 1
_cell_length_a 5.7521
_cell_length_b 8.2089
_cell_length_c 10.0323
_cell_angle_alpha 66.70
_cell_angle_beta 73.36
_cell_angle_gamma 89.99
loop_
_symmetry_equiv_pos_as_xyz
'x,y,z'
loop_
_atom_site_label
_atom_site_type_symbol
_atom_site_fract_x
_atom_site_fract_y
_atom_site_fract_z
_atom_site_occupancy
Li1 Li 0.0000 0.0000 0.0000 1
Li2 Li 0.0911 0.2361 0.8042 1
Li3 Li 0.1968 0.4733 0.6105 1
Li4 Li 0.3427 0.3575 0.3102 1
Li5 Li 0.5159 0.7813 0.9666 1
Li6 Li 0.6742 0.6899 0.6430 1
Li7 Li 0.8458 0.1124 0.3025 1
Mn1 Mn 0.0944 0.7359 0.8049 1
Mn2 Mn 0.0960 0.7359 0.3043 1
Mn3 Mn 0.2614 0.9062 0.4707 1
Mn4 Mn 0.2702 0.3991 0.9686 1
Mn5 Mn 0.4311 0.0728 0.6415 1
Mn6 Mn 0.4345 0.0727 0.1278 1
Mn7 Mn 0.5959 0.7365 0.3049 1
Mn8 Mn 0.7571 0.3995 0.4819 1
Mn9 Mn 0.7582 0.3994 0.9684 1
Mn10 Mn 0.9189 0.0721 0.6415 1
Mn11 Mn 0.9285 0.5659 0.1388 1
O1 O 0.0680 0.4989 0.3052 1
O2 O 0.0889 0.4842 0.8192 1
O3 O 0.1010 0.9875 0.7907 1
O4 O 0.1229 0.9730 0.3034 1
O5 O 0.2327 0.6398 0.9717 1
O6 O 0.2506 0.1268 0.4902 1
O7 O 0.2639 0.1641 0.9843 1
O8 O 0.2741 0.6833 0.4475 1
O9 O 0.3988 0.8328 0.6374 1
O10 O 0.4218 0.8248 0.1530 1
O11 O 0.4384 0.3140 0.1199 1
O12 O 0.4424 0.3091 0.6250 1
O13 O 0.5679 0.9728 0.3047 1
O14 O 0.5822 0.4778 0.8320 1
O15 O 0.6077 0.9941 0.7782 1
O16 O 0.6222 0.4993 0.3055 1
O17 O 0.7497 0.1633 0.9852 1
O18 O 0.7512 0.1581 0.4902 1
O19 O 0.7704 0.6474 0.4563 1
O20 O 0.7910 0.6393 0.9719 1
O21 O 0.9172 0.7893 0.1615 1
O22 O 0.9303 0.3087 0.6243 1
O23 O 0.9384 0.3450 0.1200 1
O24 O 0.9563 0.8321 0.6377 1
```

***

[2]
Diffraction record for Li4Y3MnO8. The powder X-ray diffraction pattern is computed, not measured: it uses a structure optimized by DFT (GGA+U) and Cu Kα X-rays.
Peak positions follow from Bragg's law for the DFT cell and can differ from measured ones.

Largest 10 diffraction maxima, in order of falling intensity, 15° ≤ 2θ ≤ 90°:
2θ/deg, d (Å), I/Imax, hkl
22.24, 3.997, 100, 1 1 1
41.77, 2.162, 37, 2 0 2
33.96, 2.640, 31, 2 2 0
34.30, 2.615, 30, 0 4 0
55.11, 1.666, 27, 2 4 2
47.82, 1.902, 23, 3 1 1
33.00, 2.714, 20, 1 3 1
48.34, 1.883, 16, 1 5 1
65.76, 1.420, 12, 3 5 1
71.47, 1.320, 11, 4 4 0

Structure:
```
data_Li4Y3MnO8
_chemical_formula_sum 'Li8 Y6 Mn2 O16'
_symmetry_space_group_name_H-M 'C 2 2 2'
_symmetry_Int_Tables_number 21
_cell_length_a 6.1159
_cell_length_b 10.4581
_cell_length_c 6.1169
_cell_angle_alpha 90.00
_cell_angle_beta 90.00
_cell_angle_gamma 90.00
loop_
_symmetry_equiv_pos_as_xyz
'x,y,z'
'-x,-y,z'
'x,-y,-z'
'-x,y,-z'
'x+1/2,y+1/2,z'
'-x+1/2,-y+1/2,z'
'x+1/2,-y+1/2,-z'
'-x+1/2,y+1/2,-z'
loop_
_atom_site_label
_atom_site_type_symbol
_atom_site_fract_x
_atom_site_fract_y
_atom_site_fract_z
_atom_site_occupancy
Li1 Li 0.0000 0.0000 0.0000 1
Li2 Li 0.0000 0.5000 0.5000 1
Li3 Li 0.2500 0.2500 0.2446 1
Y1 Y 0.0000 0.0000 0.5000 1
Y2 Y 0.2500 0.2500 0.7571 1
Mn1 Mn 0.0000 0.5000 0.0000 1
O1 O 0.0000 0.2140 0.5000 1
O2 O 0.0000 0.2786 0.0000 1
O3 O 0.2350 0.4809 0.7645 1
```

***

[3]
Diffraction record for NbCo3O8. The powder X-ray diffraction pattern is computed, not measured: it uses a structure optimized by DFT (GGA+U) and Cu Kα X-rays.
Peak positions follow from Bragg's law for the DFT cell and can differ from measured ones.

Largest 10 diffraction maxima, in order of falling intensity, 15° ≤ 2θ ≤ 90°:
2θ/deg, d (Å), I/Imax, hkl
20.46, 4.341, 100, 1 0 1
19.15, 4.634, 67, 0 0 2
37.32, 2.410, 47, 1 1 2
36.79, 2.443, 36, 0 2 -1
20.03, 4.434, 35, 1 0 -1
37.63, 2.390, 35, 0 2 1
20.17, 4.403, 32, 1 -1 1
19.81, 4.483, 28, 0 1 -1
36.19, 2.482, 25, 1 -2 2
36.04, 2.492, 25, 1 1 -2

Structure:
```
data_NbCo3O8
_chemical_formula_sum 'Nb2 Co6 O16'
_symmetry_space_group_name_H-M 'P 1'
_symmetry_Int_Tables_number 1
_cell_length_a 5.7276
_cell_length_b 5.7643
_cell_length_c 9.2760
_cell_angle_alpha 91.83
_cell_angle_beta 90.39
_cell_angle_gamma 119.60
loop_
_symmetry_equiv_pos_as_xyz
'x,y,z'
loop_
_atom_site_label
_atom_site_type_symbol
_atom_site_fract_x
_atom_site_fract_y
_atom_site_fract_z
_atom_site_occupancy
Nb1 Nb 0.0000 0.0000 0.0000 1
Nb2 Nb 0.3509 0.6873 0.4908 1
Co1 Co 0.0005 0.4859 0.7781 1
Co2 Co 0.3344 0.1621 0.2800 1
Co3 Co 0.4930 0.9835 0.7796 1
Co4 Co 0.4984 0.4911 0.7782 1
Co5 Co 0.8393 0.1615 0.2814 1
Co6 Co 0.8396 0.6687 0.2805 1
O1 O 0.0136 0.0061 0.3825 1
O2 O 0.1464 0.8383 0.1695 1
O3 O 0.1506 0.2870 0.1666 1
O4 O 0.1957 0.8141 0.6594 1
O5 O 0.2007 0.3656 0.6601 1
O6 O 0.3256 0.1391 0.9002 1
O7 O 0.3597 0.6800 0.8830 1
O8 O 0.5099 0.0095 0.3902 1
O9 O 0.5138 0.5001 0.3910 1
O10 O 0.6341 0.8239 0.6553 1
O11 O 0.6416 0.2993 0.6862 1
O12 O 0.6615 0.3211 0.1842 1
O13 O 0.7055 0.8385 0.1682 1
O14 O 0.8230 0.6477 0.8930 1
O15 O 0.8250 0.1511 0.8961 1
O16 O 0.9986 0.5016 0.3939 1
```

***

[4]
Diffraction record for VCrO3. The powder X-ray diffraction pattern is computed, not measured: it uses a structure optimized by DFT (GGA+U) and Cu Kα X-rays.
Peak positions follow from Bragg's law for the DFT cell and can differ from measured ones.

Largest 10 diffraction maxima, in order of falling intensity, 15° ≤ 2θ ≤ 90°:
2θ/deg, d (Å), I/Imax, hkl
32.72, 2.737, 100, 1 -1 2
35.16, 2.553, 85, 1 1 2
53.32, 1.718, 80, 1 3 0
23.83, 3.733, 57, 1 1 0
48.79, 1.867, 42, 2 -2 0
63.08, 1.474, 41, 3 1 2
61.55, 1.507, 34, 3 -1 2
40.31, 2.237, 29, 1 0 -3
70.90, 1.329, 16, 1 3 -4
87.11, 1.119, 10, 4 2 -2

Structure:
```
data_VCrO3
_chemical_formula_sum 'V4 Cr4 O12'
_symmetry_space_group_name_H-M 'P 1'
_symmetry_Int_Tables_number 1
_cell_length_a 5.1052
_cell_length_b 5.5034
_cell_length_c 7.5038
_cell_angle_alpha 95.83
_cell_angle_beta 90.06
_cell_angle_gamma 90.04
loop_
_symmetry_equiv_pos_as_xyz
'x,y,z'
loop_
_atom_site_label
_atom_site_type_symbol
_atom_site_fract_x
_atom_site_fract_y
_atom_site_fract_z
_atom_site_occupancy
V1 V 0.0000 0.0000 0.0000 1
V2 V 0.0005 0.5985 0.7054 1
V3 V 0.4995 0.0947 0.1997 1
V4 V 0.9986 0.0013 0.5007 1
Cr1 Cr 0.0000 0.6007 0.2020 1
Cr2 Cr 0.4993 0.1015 0.6988 1
Cr3 Cr 0.4995 0.4987 0.5023 1
Cr4 Cr 0.4999 0.4948 0.0031 1
O1 O 0.1515 0.9484 0.2529 1
O2 O 0.1528 0.6448 0.9526 1
O3 O 0.1978 0.3006 0.6007 1
O4 O 0.3020 0.7993 0.6018 1
O5 O 0.3482 0.1481 0.9467 1
O6 O 0.3481 0.4479 0.2521 1
O7 O 0.6489 0.4493 0.7532 1
O8 O 0.6499 0.1490 0.4495 1
O9 O 0.6974 0.7950 0.1027 1
O10 O 0.8036 0.3001 0.1016 1
O11 O 0.8462 0.9536 0.7540 1
O12 O 0.8484 0.6471 0.4517 1
```

***

[5]
Diffraction record for Ti2FeP2O10. The powder X-ray diffraction pattern is computed, not measured: it uses a structure optimized by DFT (GGA+U) and Cu Kα X-rays.
Peak positions follow from Bragg's law for the DFT cell and can differ from measured ones.

Largest 10 diffraction maxima, in order of falling intensity, 15° ≤ 2θ ≤ 90°:
2θ/deg, d (Å), I/Imax, hkl
26.51, 3.362, 100, 1 1 -2
27.46, 3.248, 49, 1 2 -1
26.70, 3.339, 49, 2 1 -1
18.09, 4.903, 39, 1 1 0
33.75, 2.656, 31, 1 2 1
27.60, 3.232, 29, 2 0 0
56.64, 1.625, 23, 2 4 -2
38.56, 2.335, 20, 1 3 0
54.57, 1.682, 15, 2 2 -4
56.36, 1.632, 13, 3 3 0

Structure:
```
data_Ti2FeP2O10
_chemical_formula_sum 'Ti4 Fe2 P4 O20'
_symmetry_space_group_name_H-M 'P 1 21/c 1'
_symmetry_Int_Tables_number 14
_cell_length_a 7.4556
_cell_length_b 7.5111
_cell_length_c 7.5242
_cell_angle_alpha 90.00
_cell_angle_beta 119.89
_cell_angle_gamma 90.00
loop_
_symmetry_equiv_pos_as_xyz
'x,y,z'
'-x,-y,-z'
'-x,y+1/2,-z+1/2'
'x,-y+1/2,z+1/2'
loop_
_atom_site_label
_atom_site_type_symbol
_atom_site_fract_x
_atom_site_fract_y
_atom_site_fract_z
_atom_site_occupancy
Ti1 Ti 0.2360 0.2236 0.2082 1
Fe1 Fe 0.5000 0.0000 0.0000 1
P1 P 0.2521 0.6181 0.0021 1
O1 O 0.0557 0.7320 0.9242 1
O2 O 0.2383 0.5046 0.8246 1
O3 O 0.2675 0.1583 0.0034 1
O4 O 0.2805 0.0061 0.6802 1
O5 O 0.4398 0.7460 0.0866 1
```